No. 1
Starting from a crystal structure in the Materials Project, relaxed with GGA-PBE, the powder X-ray diffraction pattern of Ba3Ru2N4 was computed for CuKα.
Intensities are scaled so that the largest is 100.

Structure:
```
data_Ba3Ru2N4
_chemical_formula_sum 'Ba12 Ru8 N16'
_cell_length_a 6.497
_cell_length_b 10.597
_cell_length_c 9.797
_cell_angle_alpha 90.00
_cell_angle_beta 90.00
_cell_angle_gamma 90.00
_space_group_name_H-M_alt 'P 1'
_space_group_IT_number 1
loop_
_space_group_symop_operation_xyz
'x,y,z'
loop_
_atom_site_label
_atom_site_type_symbol
_atom_site_fract_x
_atom_site_fract_y
_atom_site_fract_z
Ba1 Ba 0.129 0.157 0.080
Ba2 Ba 0.129 0.343 0.420
Ba3 Ba 0.250 0.000 0.410
Ba4 Ba 0.250 0.500 0.090
Ba5 Ba 0.371 0.657 0.420
Ba6 Ba 0.371 0.843 0.080
Ba7 Ba 0.629 0.157 0.920
Ba8 Ba 0.629 0.343 0.580
Ba9 Ba 0.750 0.000 0.590
Ba10 Ba 0.750 0.500 0.910
Ba11 Ba 0.871 0.657 0.580
Ba12 Ba 0.871 0.843 0.920
Ru1 Ru 0.179 0.250 0.750
Ru2 Ru 0.250 0.000 0.740
Ru3 Ru 0.250 0.500 0.760
Ru4 Ru 0.321 0.750 0.750
Ru5 Ru 0.679 0.250 0.250
Ru6 Ru 0.750 0.000 0.260
Ru7 Ru 0.750 0.500 0.240
Ru8 Ru 0.821 0.750 0.250
N1 N 0.001 0.098 0.809
N2 N 0.001 0.402 0.691
N3 N 0.101 0.645 0.841
N4 N 0.101 0.855 0.659
N5 N 0.399 0.145 0.659
N6 N 0.399 0.355 0.841
N7 N 0.499 0.598 0.691
N8 N 0.499 0.902 0.809
N9 N 0.501 0.098 0.191
N10 N 0.501 0.402 0.309
N11 N 0.601 0.645 0.159
N12 N 0.601 0.855 0.341
N13 N 0.899 0.145 0.341
N14 N 0.899 0.355 0.159
N15 N 0.999 0.598 0.309
N16 N 0.999 0.902 0.191
```

The 12 most intense peaks (10 to 90 degrees two-theta), sorted by position:
26.83°, d = 3.323 Å, I 59; 27.46°, d = 3.248 Å, I 19; 28.74°, d = 3.106 Å, I 35; 30.64°, d = 2.918 Å, I 100; 31.81°, d = 2.813 Å, I 29; 33.63°, d = 2.665 Å, I 30; 34.20°, d = 2.622 Å, I 45; 37.81°, d = 2.380 Å, I 14; 44.11°, d = 2.053 Å, I 14; 47.28°, d = 1.923 Å, I 19; 53.64°, d = 1.709 Å, I 13; 62.24°, d = 1.492 Å, I 14

---

No. 2
Starting from a crystal structure in the Materials Project, relaxed with GGA-PBE, the powder X-ray diffraction pattern of Ba3Ru2N4 was computed for CuKα.
Intensities are scaled so that the largest is 100.

Structure:
```
data_Ba3Ru2N4
_chemical_formula_sum 'Ba6 Ru4 N8'
_cell_length_a 7.779
_cell_length_b 7.779
_cell_length_c 5.743
_cell_angle_alpha 94.16
_cell_angle_beta 94.16
_cell_angle_gamma 75.08
_space_group_name_H-M_alt 'P 1'
_space_group_IT_number 1
loop_
_space_group_symop_operation_xyz
'x,y,z'
loop_
_atom_site_label
_atom_site_type_symbol
_atom_site_fract_x
_atom_site_fract_y
_atom_site_fract_z
Ba1 Ba 0.094 0.906 0.750
Ba2 Ba 0.238 0.507 0.455
Ba3 Ba 0.493 0.762 0.045
Ba4 Ba 0.507 0.238 0.955
Ba5 Ba 0.762 0.493 0.545
Ba6 Ba 0.906 0.094 0.250
Ru1 Ru 0.082 0.340 0.927
Ru2 Ru 0.340 0.082 0.427
Ru3 Ru 0.660 0.918 0.573
Ru4 Ru 0.918 0.660 0.073
N1 N 0.131 0.228 0.608
N2 N 0.172 0.564 0.958
N3 N 0.228 0.131 0.108
N4 N 0.436 0.828 0.542
N5 N 0.564 0.172 0.458
N6 N 0.772 0.869 0.892
N7 N 0.828 0.436 0.042
N8 N 0.869 0.772 0.392
```

The 12 most intense peaks (10 to 90 degrees two-theta), sorted by position:
23.67°, d = 3.758 Å, I 10; 27.27°, d = 3.270 Å, I 57; 29.18°, d = 3.060 Å, I 100; 32.89°, d = 2.723 Å, I 34; 35.84°, d = 2.505 Å, I 16; 37.83°, d = 2.378 Å, I 26; 37.97°, d = 2.370 Å, I 26; 38.46°, d = 2.340 Å, I 28; 42.79°, d = 2.113 Å, I 17; 46.84°, d = 1.939 Å, I 10; 50.00°, d = 1.824 Å, I 10; 63.27°, d = 1.470 Å, I 9

---

No. 3
Starting from a crystal structure in the Materials Project, relaxed with GGA-PBE, the powder X-ray diffraction pattern of Ba2RuN3 was computed for CuKα.
Intensities are scaled so that the largest is 100.

Structure:
```
data_Ba2RuN3
_chemical_formula_sum 'Ba8 Ru4 N12'
_cell_length_a 6.678
_cell_length_b 6.678
_cell_length_c 13.137
_cell_angle_alpha 90.00
_cell_angle_beta 90.00
_cell_angle_gamma 126.63
_space_group_name_H-M_alt 'P 1'
_space_group_IT_number 1
loop_
_space_group_symop_operation_xyz
'x,y,z'
loop_
_atom_site_label
_atom_site_type_symbol
_atom_site_fract_x
_atom_site_fract_y
_atom_site_fract_z
Ba1 Ba 0.064 0.936 0.863
Ba2 Ba 0.139 0.861 0.419
Ba3 Ba 0.361 0.639 0.919
Ba4 Ba 0.436 0.564 0.363
Ba5 Ba 0.564 0.436 0.637
Ba6 Ba 0.639 0.361 0.081
Ba7 Ba 0.861 0.139 0.581
Ba8 Ba 0.936 0.064 0.137
Ru1 Ru 0.239 0.761 0.665
Ru2 Ru 0.261 0.739 0.165
Ru3 Ru 0.739 0.261 0.835
Ru4 Ru 0.761 0.239 0.335
N1 N 0.011 0.489 0.750
N2 N 0.083 0.917 0.629
N3 N 0.162 0.838 0.052
N4 N 0.338 0.662 0.552
N5 N 0.417 0.583 0.129
N6 N 0.489 0.011 0.250
N7 N 0.511 0.989 0.750
N8 N 0.583 0.417 0.871
N9 N 0.662 0.338 0.448
N10 N 0.838 0.162 0.948
N11 N 0.917 0.083 0.371
N12 N 0.989 0.511 0.250
```

The 12 most intense peaks (10 to 90 degrees two-theta), sorted by position:
26.28°, d = 3.391 Å, I 17; 27.15°, d = 3.284 Å, I 29; 27.76°, d = 3.214 Å, I 33; 29.79°, d = 2.999 Å, I 60; 30.20°, d = 2.959 Å, I 100; 31.96°, d = 2.800 Å, I 32; 37.40°, d = 2.405 Å, I 17; 40.74°, d = 2.215 Å, I 24; 48.53°, d = 1.876 Å, I 15; 51.62°, d = 1.771 Å, I 17; 53.13°, d = 1.724 Å, I 21; 85.97°, d = 1.131 Å, I 12